1.
KHoS2: calculated powder XRD pattern (a wavelength of 1.5418 Å), based on a GGA-PBE-relaxed structure.

Principal peaks in the range 2θ = 5–70°, by angle:
index, 2θ (°), I (rel.)
0 0 3, 12.02, 81
0 0 6, 24.17, 18
1 0 1, 25.81, 27
0 1 2, 26.75, 36
1 0 4, 30.26, 100
1 0 7, 38.43, 20
0 1 8, 41.68, 36
1 1 0, 44.92, 33
1 1 3, 46.67, 18
1 1 6, 51.65, 14
0 1 11, 52.55, 14
0 2 4, 55.12, 17

Cell and atoms:
Cell lengths 4.0358, 4.0358, 22.0919 Å; angles 90.00, 90.00, 120.00 degrees
Element x y z (fractional)
K (0.0000, 0.0000, 0.0000)
K (0.3333, 0.6667, 0.6667)
K (0.6667, 0.3333, 0.3333)
Ho (0.0000, 0.0000, 0.5000)
Ho (0.3333, 0.6667, 0.1667)
Ho (0.6667, 0.3333, 0.8333)
S (0.0000, 0.0000, 0.2336)
S (0.0000, 0.0000, 0.7664)
S (0.3333, 0.6667, 0.4331)
S (0.3333, 0.6667, 0.9002)
S (0.6667, 0.3333, 0.0998)
S (0.6667, 0.3333, 0.5669)

=====

2.
La3Ho: calculated powder XRD pattern (a wavelength of 1.5418 Å), based on a GGA-PBE-relaxed structure.

Principal peaks in the range 2θ = 5–70°, by angle:
index, 2θ (°), I (rel.)
1 0 1, 18.94, 1
1 1 2, 29.51, 100
0 0 4, 34.06, 17
2 0 0, 34.27, 34
2 0 4, 49.10, 24
2 2 0, 49.25, 12
1 1 6, 58.19, 15
3 1 2, 58.46, 29
2 2 4, 61.24, 13

Cell and atoms:
Cell lengths 5.2329, 5.2329, 10.5278 Å; angles 90.00, 90.00, 90.00 degrees
Element x y z (fractional)
La (0.0000, 0.0000, 0.0000)
La (0.0000, 0.5000, 0.2500)
La (0.0000, 0.5000, 0.7500)
La (0.5000, 0.0000, 0.2500)
La (0.5000, 0.0000, 0.7500)
La (0.5000, 0.5000, 0.5000)
Ho (0.0000, 0.0000, 0.5000)
Ho (0.5000, 0.5000, 0.0000)

=====

3.
LiLa4Ho4O12: calculated powder XRD pattern (a wavelength of 1.5418 Å), based on a GGA-PBE-relaxed structure.

Principal peaks in the range 2θ = 5–70°, by angle:
index, 2θ (°), I (rel.)
0 2 0, 28.95, 45
-1 1 2, 29.10, 100
1 1 2, 29.91, 98
2 0 0, 30.16, 47
0 0 4, 42.14, 23
2 -2 0, 42.29, 37
-1 3 2, 51.40, 14
0 2 -4, 51.86, 12
0 2 4, 51.98, 20
-3 1 2, 52.41, 21
3 -1 2, 53.87, 12
3 1 2, 53.94, 12

Cell and atoms:
Cell lengths 5.9308, 6.1685, 8.5843 Å; angles 90.12, 92.13, 90.08 degrees
Element x y z (fractional)
Li (0.0000, 0.0000, 0.0000)
La (0.1364, 0.0560, 0.3246)
La (0.1663, 0.1942, 0.7609)
La (0.6412, 0.6699, 0.8106)
La (0.6643, 0.5650, 0.3086)
Ho (0.1464, 0.5876, 0.0605)
Ho (0.1543, 0.6233, 0.5532)
Ho (0.6049, 0.1183, 0.0603)
Ho (0.6575, 0.1187, 0.5588)
O (0.0214, 0.5620, 0.8029)
O (0.2799, 0.6683, 0.3043)
O (0.3038, 0.9267, 0.9877)
O (0.3397, 0.9359, 0.6044)
O (0.4604, 0.4306, 0.9888)
O (0.4707, 0.4276, 0.6223)
O (0.5183, 0.1804, 0.3059)
O (0.7855, 0.0476, 0.8195)
O (0.8322, 0.7974, 0.1119)
O (0.8447, 0.8195, 0.4813)
O (0.9567, 0.2809, 0.1213)
O (0.9664, 0.3108, 0.4955)

=====

4.
LiLa4Ho4O12: calculated powder XRD pattern (a wavelength of 1.5418 Å), based on a GGA-PBE-relaxed structure.

Principal peaks in the range 2θ = 5–70°, by angle:
index, 2θ (°), I (rel.)
-1 1 1, 23.50, 7
0 2 0, 28.52, 26
1 1 2, 28.97, 31
1 1 -2, 29.72, 100
2 0 0, 30.47, 29
2 2 0, 41.62, 13
0 0 4, 42.29, 15
2 -2 0, 42.81, 12
0 2 -4, 52.25, 8
2 0 -4, 53.46, 8
3 1 -2, 53.64, 9
3 -1 2, 53.72, 7

Cell and atoms:
Cell lengths 5.8706, 6.2617, 8.5501 Å; angles 89.00, 89.02, 88.42 degrees
Element x y z (fractional)
Li (0.0000, 0.0000, 0.0000)
La (0.1230, 0.1849, 0.5931)
La (0.1527, 0.3457, 0.1400)
La (0.5880, 0.8071, 0.0998)
La (0.6630, 0.6856, 0.5982)
Ho (0.1321, 0.7629, 0.3548)
Ho (0.1406, 0.7063, 0.8301)
Ho (0.6211, 0.2413, 0.8532)
Ho (0.6396, 0.2481, 0.3535)
O (0.0050, 0.7168, 0.0978)
O (0.2746, 0.8042, 0.6003)
O (0.3174, 0.0404, 0.9310)
O (0.3183, 0.0705, 0.3029)
O (0.4378, 0.5414, 0.9335)
O (0.4480, 0.5595, 0.2877)
O (0.4973, 0.3162, 0.6084)
O (0.7809, 0.1767, 0.0995)
O (0.8264, 0.9527, 0.4361)
O (0.8376, 0.9365, 0.7998)
O (0.9273, 0.4399, 0.7698)
O (0.9511, 0.4455, 0.4063)

=====

5.
LaHoMg2: calculated powder XRD pattern (a wavelength of 1.5418 Å), based on a GGA-PBE-relaxed structure.

Principal peaks in the range 2θ = 5–70°, by angle:
index, 2θ (°), I (rel.)
1 1 1, 19.88, 1
2 0 0, 23.00, 60
2 2 0, 32.75, 100
3 1 1, 38.61, 1
2 2 2, 40.40, 19
4 0 0, 47.00, 18
4 2 0, 52.95, 26
4 2 2, 58.46, 38
4 4 0, 68.65, 12

Cell and atoms:
Cell lengths 7.7337, 7.7337, 7.7337 Å; angles 90.00, 90.00, 90.00 degrees
Element x y z (fractional)
La (0.0000, 0.0000, 0.0000)
La (0.0000, 0.5000, 0.5000)
La (0.5000, 0.0000, 0.5000)
La (0.5000, 0.5000, 0.0000)
Ho (0.0000, 0.0000, 0.5000)
Ho (0.0000, 0.5000, 0.0000)
Ho (0.5000, 0.0000, 0.0000)
Ho (0.5000, 0.5000, 0.5000)
Mg (0.2500, 0.2500, 0.2500)
Mg (0.2500, 0.2500, 0.7500)
Mg (0.2500, 0.7500, 0.2500)
Mg (0.2500, 0.7500, 0.7500)
Mg (0.7500, 0.2500, 0.2500)
Mg (0.7500, 0.2500, 0.7500)
Mg (0.7500, 0.7500, 0.2500)
Mg (0.7500, 0.7500, 0.7500)

=====

6.
LaHoO3: calculated powder XRD pattern (a wavelength of 1.5418 Å), based on a GGA-PBE-relaxed structure.

Principal peaks in the range 2θ = 5–70°, by angle:
index, 2θ (°), I (rel.)
2 0 0, 29.40, 23
1 2 1, 29.68, 100
0 0 2, 30.38, 22
0 4 0, 42.15, 12
2 0 2, 42.79, 20
3 1 1, 48.73, 5
2 4 0, 52.22, 11
3 2 1, 52.32, 16
0 4 2, 52.84, 12
1 2 3, 53.55, 22
2 4 2, 61.62, 12
1 6 1, 69.41, 9

Cell and atoms:
Cell lengths 6.0755, 8.5760, 5.8835 Å; angles 90.00, 90.00, 90.00 degrees
Element x y z (fractional)
La (0.0467, 0.2500, 0.0183)
La (0.4533, 0.7500, 0.5183)
La (0.5467, 0.2500, 0.4817)
La (0.9533, 0.7500, 0.9817)
Ho (0.0000, 0.0000, 0.5000)
Ho (0.0000, 0.5000, 0.5000)
Ho (0.5000, 0.0000, 0.0000)
Ho (0.5000, 0.5000, 0.0000)
O (0.0566, 0.7500, 0.3686)
O (0.1979, 0.5715, 0.8033)
O (0.1979, 0.9285, 0.8033)
O (0.3021, 0.0715, 0.3033)
O (0.3021, 0.4285, 0.3033)
O (0.4434, 0.2500, 0.8686)
O (0.5566, 0.7500, 0.1314)
O (0.6979, 0.5715, 0.6967)
O (0.6979, 0.9285, 0.6967)
O (0.8021, 0.0715, 0.1967)
O (0.8021, 0.4285, 0.1967)
O (0.9434, 0.2500, 0.6314)

=====

7.
LaHoO3: calculated powder XRD pattern (a wavelength of 1.5418 Å), based on a GGA-PBE-relaxed structure.

Principal peaks in the range 2θ = 5–70°, by angle:
index, 2θ (°), I (rel.)
0 2 0, 29.35, 20
2 1 1, 29.59, 100
0 2 2, 42.18, 18
4 0 0, 42.49, 10
2 3 -1, 52.20, 20
4 0 -2, 52.50, 23
2 1 3, 52.58, 8
4 0 2, 52.71, 4
4 2 -2, 61.36, 5
4 2 2, 61.48, 9
2 3 3, 69.42, 6
6 1 1, 69.85, 7

Cell and atoms:
Cell lengths 8.5106, 6.0859, 6.0331 Å; angles 90.00, 90.14, 90.00 degrees
Element x y z (fractional)
La (0.2491, 0.0082, 0.0240)
La (0.2491, 0.4918, 0.5240)
La (0.7509, 0.5082, 0.4760)
La (0.7509, 0.9918, 0.9760)
Ho (0.0000, 0.0000, 0.5000)
Ho (0.0000, 0.5000, 0.0000)
Ho (0.5000, 0.0000, 0.5000)
Ho (0.5000, 0.5000, 0.0000)
O (0.0391, 0.6758, 0.6764)
O (0.0391, 0.8242, 0.1764)
O (0.2516, 0.1108, 0.4597)
O (0.2516, 0.3892, 0.9597)
O (0.4355, 0.6873, 0.3131)
O (0.4355, 0.8127, 0.8131)
O (0.5645, 0.1873, 0.1869)
O (0.5645, 0.3127, 0.6869)
O (0.7484, 0.6108, 0.0403)
O (0.7484, 0.8892, 0.5403)
O (0.9609, 0.1758, 0.8236)
O (0.9609, 0.3242, 0.3236)

=====

8.
LaHoSi2O7: calculated powder XRD pattern (a wavelength of 1.5418 Å), based on a GGA-PBE-relaxed structure.

Principal peaks in the range 2θ = 5–70°, by angle:
index, 2θ (°), I (rel.)
0 1 1, 12.29, 100
1 0 2, 26.20, 66
1 2 -1, 26.31, 96
1 0 -4, 26.44, 70
1 2 0, 27.21, 69
0 2 3, 29.19, 52
2 0 -2, 32.91, 41
1 1 3, 33.67, 25
1 3 0, 35.90, 27
2 2 1, 44.43, 43
2 2 -5, 44.71, 27
1 2 5, 49.92, 24

Cell and atoms:
Cell lengths 5.4429, 8.6529, 14.0265 Å; angles 90.00, 112.31, 90.00 degrees
Element x y z (fractional)
La (0.0159, 0.1947, 0.2714)
La (0.0159, 0.3053, 0.7714)
La (0.9841, 0.6947, 0.2286)
La (0.9841, 0.8053, 0.7286)
Ho (0.3175, 0.1077, 0.5902)
Ho (0.3175, 0.3923, 0.0902)
Ho (0.6825, 0.6077, 0.9098)
Ho (0.6825, 0.8923, 0.4098)
Si (0.2487, 0.7448, 0.0212)
Si (0.2487, 0.7552, 0.5212)
Si (0.4541, 0.0018, 0.1820)
Si (0.4541, 0.4982, 0.6820)
Si (0.5459, 0.5018, 0.3180)
Si (0.5459, 0.9982, 0.8180)
Si (0.7513, 0.2448, 0.4788)
Si (0.7513, 0.2552, 0.9788)
O (0.0364, 0.7481, 0.4028)
O (0.0364, 0.7519, 0.9028)
O (0.0864, 0.6308, 0.0743)
O (0.0864, 0.8692, 0.5743)
O (0.2546, 0.0773, 0.7559)
O (0.2546, 0.4227, 0.2559)
O (0.2921, 0.5194, 0.7597)
O (0.2924, 0.5812, 0.5707)
O (0.2924, 0.9188, 0.0707)
O (0.2921, 0.9806, 0.2597)
O (0.4708, 0.1564, 0.4599)
O (0.4708, 0.3436, 0.9599)
O (0.4763, 0.6812, 0.3317)
O (0.4763, 0.8188, 0.8317)
O (0.5237, 0.1812, 0.1683)
O (0.5237, 0.3188, 0.6683)
O (0.5292, 0.6564, 0.0401)
O (0.5292, 0.8436, 0.5401)
O (0.7079, 0.0194, 0.7403)
O (0.7076, 0.0812, 0.9293)
O (0.7076, 0.4188, 0.4293)
O (0.7079, 0.4806, 0.2403)
O (0.7454, 0.5773, 0.7441)
O (0.7454, 0.9227, 0.2441)
O (0.9136, 0.1308, 0.4257)
O (0.9136, 0.3692, 0.9257)
O (0.9636, 0.2481, 0.0972)
O (0.9636, 0.2519, 0.5972)

=====

9.
LaHoRu2: calculated powder XRD pattern (a wavelength of 1.5418 Å), based on a GGA-PBE-relaxed structure.

Principal peaks in the range 2θ = 5–70°, by angle:
index, 2θ (°), I (rel.)
1 1 1, 22.15, 1
2 0 0, 25.63, 4
2 2 0, 36.56, 100
2 2 2, 45.18, 1
4 0 0, 52.66, 17
4 2 0, 59.46, 2
4 2 2, 65.81, 35

Cell and atoms:
Cell lengths 6.9525, 6.9525, 6.9525 Å; angles 90.00, 90.00, 90.00 degrees
Element x y z (fractional)
La (0.0000, 0.0000, 0.0000)
La (0.0000, 0.5000, 0.5000)
La (0.5000, 0.0000, 0.5000)
La (0.5000, 0.5000, 0.0000)
Ho (0.0000, 0.0000, 0.5000)
Ho (0.0000, 0.5000, 0.0000)
Ho (0.5000, 0.0000, 0.0000)
Ho (0.5000, 0.5000, 0.5000)
Ru (0.2500, 0.2500, 0.2500)
Ru (0.2500, 0.2500, 0.7500)
Ru (0.2500, 0.7500, 0.2500)
Ru (0.2500, 0.7500, 0.7500)
Ru (0.7500, 0.2500, 0.2500)
Ru (0.7500, 0.2500, 0.7500)
Ru (0.7500, 0.7500, 0.2500)
Ru (0.7500, 0.7500, 0.7500)